[1]
The following is a theoretical powder diffraction line list of K3CrH6O6. It was derived from a crystal structure in the Materials Project, relaxed with PBE+U, using CuKα.

Crystal structure
Lattice parameters (Å, degrees): 7.3347 7.3347 7.3347 95.98 95.98 95.98
Atoms (fractional coordinates):
K 0.1309 0.7500 0.3691
K 0.2500 0.6309 0.8691
K 0.3691 0.1309 0.7500
K 0.6309 0.8691 0.2500
K 0.7500 0.3691 0.1309
K 0.8691 0.2500 0.6309
Cr 0.0000 0.0000 0.0000
Cr 0.5000 0.5000 0.5000
H 0.0821 0.1199 0.3298
H 0.1199 0.3298 0.0821
H 0.1702 0.3801 0.4179
H 0.3298 0.0821 0.1199
H 0.3801 0.4179 0.1702
H 0.4179 0.1702 0.3801
H 0.5821 0.8298 0.6199
H 0.6199 0.5821 0.8298
H 0.6702 0.9179 0.8801
H 0.8298 0.6199 0.5821
H 0.8801 0.6702 0.9179
H 0.9179 0.8801 0.6702
O 0.0416 0.9030 0.7366
O 0.0970 0.2634 0.9584
O 0.2366 0.4030 0.5416
O 0.2634 0.9584 0.0970
O 0.4030 0.5416 0.2366
O 0.4584 0.7634 0.5970
O 0.5416 0.2366 0.4030
O 0.5970 0.4584 0.7634
O 0.7366 0.0416 0.9030
O 0.7634 0.5970 0.4584
O 0.9030 0.7366 0.0416
O 0.9584 0.0970 0.2634

Largest 6 diffraction maxima, by angle, 5 to 70 degrees two-theta:
2θ = 18.30°, I 100
2θ = 28.36°, I 58
2θ = 28.81°, I 50
2θ = 35.19°, I 56
2θ = 37.87°, I 44
2θ = 40.87°, I 70



[2]
The following is a theoretical powder diffraction line list of KCr3H6S2O14. It was derived from a crystal structure in the Materials Project, relaxed with PBE+U, using CuKα.

Crystal structure
Lattice parameters (Å, degrees): 7.2349 7.2349 7.2349 61.14 61.14 61.14
Atoms (fractional coordinates):
K 0.0000 0.0000 0.0000
Cr 0.0000 0.0000 0.5000
Cr 0.0000 0.5000 0.0000
Cr 0.5000 0.0000 0.0000
H 0.2842 0.6926 0.6926
H 0.3074 0.3074 0.7158
H 0.3074 0.7158 0.3074
H 0.6926 0.2842 0.6926
H 0.6926 0.6926 0.2842
H 0.7158 0.3074 0.3074
S 0.3043 0.3043 0.3043
S 0.6957 0.6957 0.6957
O 0.1211 0.7369 0.7369
O 0.1650 0.1650 0.4980
O 0.1650 0.4980 0.1650
O 0.2631 0.2631 0.8789
O 0.2631 0.8789 0.2631
O 0.3880 0.3880 0.3880
O 0.4980 0.1650 0.1650
O 0.5020 0.8350 0.8350
O 0.6120 0.6120 0.6120
O 0.7369 0.1211 0.7369
O 0.7369 0.7369 0.1211
O 0.8350 0.5020 0.8350
O 0.8350 0.8350 0.5020
O 0.8789 0.2631 0.2631

Largest 6 diffraction maxima, by angle, 5 to 70 degrees two-theta:
2θ = 17.19°, I 54
2θ = 28.47°, I 54
2θ = 28.65°, I 100
2θ = 38.55°, I 33
2θ = 45.41°, I 33
2θ = 49.55°, I 32



[3]
The following is a theoretical powder diffraction line list of K2ZnCr2H4O10. It was derived from a crystal structure in the Materials Project, relaxed with PBE+U, using CuKα.

Crystal structure
Lattice parameters (Å, degrees): 8.0832 8.0832 12.5324 113.29 113.29 41.66
Atoms (fractional coordinates):
K 0.0505 0.6878 0.9560
K 0.3122 0.9495 0.5440
K 0.6878 0.0505 0.4560
K 0.9495 0.3122 0.0440
Zn 0.1546 0.8454 0.7500
Zn 0.8454 0.1546 0.2500
Cr 0.2293 0.5440 0.2902
Cr 0.4560 0.7707 0.2098
Cr 0.5440 0.2293 0.7902
Cr 0.7707 0.4560 0.7098
H 0.0565 0.3334 0.3664
H 0.1882 0.5116 0.5896
H 0.3334 0.0565 0.8664
H 0.4884 0.8118 0.9104
H 0.5116 0.1882 0.0896
H 0.6666 0.9435 0.1336
H 0.8118 0.4884 0.4104
H 0.9435 0.6666 0.6336
O 0.0277 0.6870 0.6071
O 0.0428 0.8590 0.3357
O 0.1410 0.9572 0.1643
O 0.1620 0.4458 0.3441
O 0.1862 0.4796 0.1449
O 0.3130 0.9723 0.8929
O 0.3891 0.5339 0.8404
O 0.4458 0.1620 0.8441
O 0.4662 0.6109 0.6596
O 0.4796 0.1862 0.6449
O 0.5204 0.8138 0.3551
O 0.5339 0.3891 0.3404
O 0.5542 0.8380 0.1559
O 0.6109 0.4662 0.1596
O 0.6870 0.0277 0.1071
O 0.8138 0.5204 0.8551
O 0.8380 0.5542 0.6559
O 0.8590 0.0428 0.8357
O 0.9572 0.1410 0.6643
O 0.9723 0.3130 0.3929

Largest 6 diffraction maxima, by angle, 5 to 70 degrees two-theta:
2θ = 12.93°, I 41
2θ = 15.61°, I 78
2θ = 24.23°, I 47
2θ = 28.09°, I 100
2θ = 31.18°, I 37
2θ = 32.13°, I 54



[4]
The following is a theoretical powder diffraction line list of K2ZnCr4H4O16. It was derived from a crystal structure in the Materials Project, relaxed with PBE+U, using CuKα.

Crystal structure
Lattice parameters (Å, degrees): 6.8969 7.8424 8.0046 89.33 81.68 64.12
Atoms (fractional coordinates):
K 0.2081 0.2352 0.1740
K 0.7919 0.7648 0.8260
Zn 0.5000 0.5000 0.5000
Cr 0.2239 0.0062 0.6670
Cr 0.2397 0.7054 0.1566
Cr 0.7603 0.2946 0.8434
Cr 0.7761 0.9938 0.3330
H 0.2365 0.3555 0.6111
H 0.3266 0.4081 0.7645
H 0.6734 0.5919 0.2355
H 0.7635 0.6445 0.3889
O 0.0502 0.9416 0.2377
O 0.1288 0.6352 0.0241
O 0.2134 0.1582 0.5217
O 0.2590 0.4591 0.6633
O 0.2935 0.5598 0.3135
O 0.3450 0.7858 0.5875
O 0.3477 0.0366 0.8130
O 0.4616 0.7154 0.0660
O 0.5384 0.2846 0.9340
O 0.6523 0.9634 0.1870
O 0.6550 0.2142 0.4125
O 0.7065 0.4402 0.6865
O 0.7410 0.5409 0.3367
O 0.7866 0.8418 0.4783
O 0.8712 0.3648 0.9759
O 0.9498 0.0584 0.7623

Largest 6 diffraction maxima, by angle, 5 to 70 degrees two-theta:
2θ = 14.40°, I 53
2θ = 24.83°, I 100
2θ = 25.21°, I 73
2θ = 25.94°, I 37
2θ = 26.98°, I 49
2θ = 28.33°, I 36



[5]
The following is a theoretical powder diffraction line list of LaCrHO5. It was derived from a crystal structure in the Materials Project, relaxed with PBE+U, using CuKα.

Crystal structure
Lattice parameters (Å, degrees): 4.7834 13.2880 7.2871 90.00 111.45 90.00
Atoms (fractional coordinates):
La 0.1639 0.0568 0.2992
La 0.1639 0.4432 0.7992
La 0.8361 0.5568 0.2008
La 0.8361 0.9432 0.7008
Cr 0.4095 0.1488 0.8820
Cr 0.4095 0.3512 0.3820
Cr 0.5905 0.6488 0.6180
Cr 0.5905 0.8512 0.1180
H 0.2224 0.6476 0.0013
H 0.2224 0.8524 0.5013
H 0.7776 0.1476 0.4987
H 0.7776 0.3524 0.9987
O 0.1800 0.0700 0.9467
O 0.1800 0.4300 0.4467
O 0.2295 0.5793 0.0529
O 0.2295 0.9207 0.5529
O 0.2562 0.2386 0.3211
O 0.2562 0.2614 0.8211
O 0.2732 0.6604 0.4307
O 0.2732 0.8396 0.9307
O 0.4732 0.0970 0.6927
O 0.4732 0.4030 0.1927
O 0.5268 0.5970 0.8073
O 0.5268 0.9030 0.3073
O 0.7268 0.1604 0.0693
O 0.7268 0.3396 0.5693
O 0.7438 0.7386 0.1789
O 0.7438 0.7614 0.6789
O 0.7705 0.0793 0.4471
O 0.7705 0.4207 0.9471
O 0.8200 0.5700 0.5533
O 0.8200 0.9300 0.0533

Largest 6 diffraction maxima, by angle, 5 to 70 degrees two-theta:
2θ = 13.33°, I 100
2θ = 24.03°, I 61
2θ = 26.59°, I 68
2θ = 28.07°, I 45
2θ = 28.48°, I 90
2θ = 29.95°, I 62



What did the second record say?
The following is a theoretical powder diffraction line list of KCr3H6S2O14. It was derived from a crystal structure in the Materials Project, relaxed with PBE+U, using CuKα.

Crystal structure
Lattice parameters (Å, degrees): 7.2349 7.2349 7.2349 61.14 61.14 61.14
Atoms (fractional coordinates):
K 0.0000 0.0000 0.0000
Cr 0.0000 0.0000 0.5000
Cr 0.0000 0.5000 0.0000
Cr 0.5000 0.0000 0.0000
H 0.2842 0.6926 0.6926
H 0.3074 0.3074 0.7158
H 0.3074 0.7158 0.3074
H 0.6926 0.2842 0.6926
H 0.6926 0.6926 0.2842
H 0.7158 0.3074 0.3074
S 0.3043 0.3043 0.3043
S 0.6957 0.6957 0.6957
O 0.1211 0.7369 0.7369
O 0.1650 0.1650 0.4980
O 0.1650 0.4980 0.1650
O 0.2631 0.2631 0.8789
O 0.2631 0.8789 0.2631
O 0.3880 0.3880 0.3880
O 0.4980 0.1650 0.1650
O 0.5020 0.8350 0.8350
O 0.6120 0.6120 0.6120
O 0.7369 0.1211 0.7369
O 0.7369 0.7369 0.1211
O 0.8350 0.5020 0.8350
O 0.8350 0.8350 0.5020
O 0.8789 0.2631 0.2631

Largest 6 diffraction maxima, by angle, 5 to 70 degrees two-theta:
2θ = 17.19°, I 54
2θ = 28.47°, I 54
2θ = 28.65°, I 100
2θ = 38.55°, I 33
2θ = 45.41°, I 33
2θ = 49.55°, I 32